Record 1
For Pr4DyTm15, a DFT-relaxed cell (GGA-PBE, Alexandria) gives the theoretical powder diffraction line list in this record (CuKα).
Intensities are scaled so that the largest is 100.

The 10 most intense peaks (10° ≤ 2θ ≤ 80°), low angle first:
two_theta	intensity	hkl
30.98	100	1 1 5
35.86	34	2 0 0
36.05	17	0 0 10
51.62	12	2 2 0
51.76	24	2 0 10
61.43	29	3 1 5
61.68	14	1 1 15
64.57	12	2 2 10
76.01	4	4 0 0
76.46	2	0 0 20

Atomic structure:
```
data_Pr4DyTm15
_chemical_formula_sum 'Pr4 Dy1 Tm15'
_symmetry_space_group_name_H-M 'P 4/m m m'
_symmetry_Int_Tables_number 123
_symmetry_space_group_name_Hall '-P 4 2'
_cell_length_a 5.008
_cell_length_b 5.008
_cell_length_c 24.916
_cell_angle_alpha 90.00
_cell_angle_beta 90.00
_cell_angle_gamma 90.00
loop_
_atom_site_label
_atom_site_type_symbol
_atom_site_fract_x
_atom_site_fract_y
_atom_site_fract_z
Pr1 Pr 0.000 0.000 0.101
Pr2 Pr 0.000 0.000 0.301
Dy1 Dy 0.000 0.000 0.500
Tm1 Tm 0.000 0.500 0.000
Tm2 Tm 0.000 0.500 0.201
Tm3 Tm 0.000 0.500 0.402
Tm4 Tm 0.500 0.500 0.100
Tm5 Tm 0.500 0.500 0.301
Tm6 Tm 0.500 0.500 0.500
```


Record 2
For Dy3Y2Al3, a DFT-relaxed cell (GGA-PBE, Alexandria) gives the theoretical powder diffraction line list in this record (CuKα).
Intensities are scaled so that the largest is 100.

The 12 most intense peaks (10° ≤ 2θ ≤ 80°), low angle first:
two_theta	intensity	hkl
18.48	14	0 1 0
21.09	11	1 0 1
26.27	12	1 1 0
27.50	11	1 0 2
28.19	12	1 1 1
33.33	100	1 1 2
37.50	38	2 0 0
40.96	12	0 0 4
54.07	13	2 2 0
56.73	18	2 0 4
64.97	14	1 3 2
65.07	14	3 1 2

Atomic structure:
```
data_Dy3Y2Al3
_chemical_formula_sum 'Dy3 Y2 Al3'
_symmetry_space_group_name_H-M 'P m m m'
_symmetry_Int_Tables_number 47
_cell_length_a 4.792
_cell_length_b 4.802
_cell_length_c 8.813
_cell_angle_alpha 90.00
_cell_angle_beta 90.00
_cell_angle_gamma 90.00
loop_
_symmetry_equiv_pos_as_xyz
'x,y,z'
'-x,-y,-z'
'-x,-y,z'
'x,y,-z'
'x,-y,-z'
'-x,y,z'
'-x,y,-z'
'x,-y,z'
loop_
_atom_site_label
_atom_site_type_symbol
_atom_site_fract_x
_atom_site_fract_y
_atom_site_fract_z
Dy1 Dy 0.000 0.000 0.000
Dy2 Dy 0.500 0.000 0.272
Y1 Y 0.000 0.500 0.274
Al1 Al 0.000 0.000 0.500
Al2 Al 0.500 0.500 0.000
Al3 Al 0.500 0.500 0.500
```


Repeat the second record exactly.
For Dy3Y2Al3, a DFT-relaxed cell (GGA-PBE, Alexandria) gives the theoretical powder diffraction line list in this record (CuKα).
Intensities are scaled so that the largest is 100.

The 12 most intense peaks (10° ≤ 2θ ≤ 80°), low angle first:
two_theta	intensity	hkl
18.48	14	0 1 0
21.09	11	1 0 1
26.27	12	1 1 0
27.50	11	1 0 2
28.19	12	1 1 1
33.33	100	1 1 2
37.50	38	2 0 0
40.96	12	0 0 4
54.07	13	2 2 0
56.73	18	2 0 4
64.97	14	1 3 2
65.07	14	3 1 2

Atomic structure:
```
data_Dy3Y2Al3
_chemical_formula_sum 'Dy3 Y2 Al3'
_symmetry_space_group_name_H-M 'P m m m'
_symmetry_Int_Tables_number 47
_cell_length_a 4.792
_cell_length_b 4.802
_cell_length_c 8.813
_cell_angle_alpha 90.00
_cell_angle_beta 90.00
_cell_angle_gamma 90.00
loop_
_symmetry_equiv_pos_as_xyz
'x,y,z'
'-x,-y,-z'
'-x,-y,z'
'x,y,-z'
'x,-y,-z'
'-x,y,z'
'-x,y,-z'
'x,-y,z'
loop_
_atom_site_label
_atom_site_type_symbol
_atom_site_fract_x
_atom_site_fract_y
_atom_site_fract_z
Dy1 Dy 0.000 0.000 0.000
Dy2 Dy 0.500 0.000 0.272
Y1 Y 0.000 0.500 0.274
Al1 Al 0.000 0.000 0.500
Al2 Al 0.500 0.500 0.000
Al3 Al 0.500 0.500 0.500
```


What is the formula in the first record?
Pr4DyTm15


Repeat the first record exactly.
For Pr4DyTm15, a DFT-relaxed cell (GGA-PBE, Alexandria) gives the theoretical powder diffraction line list in this record (CuKα).
Intensities are scaled so that the largest is 100.

The 10 most intense peaks (10° ≤ 2θ ≤ 80°), low angle first:
two_theta	intensity	hkl
30.98	100	1 1 5
35.86	34	2 0 0
36.05	17	0 0 10
51.62	12	2 2 0
51.76	24	2 0 10
61.43	29	3 1 5
61.68	14	1 1 15
64.57	12	2 2 10
76.01	4	4 0 0
76.46	2	0 0 20

Atomic structure:
```
data_Pr4DyTm15
_chemical_formula_sum 'Pr4 Dy1 Tm15'
_symmetry_space_group_name_H-M 'P 4/m m m'
_symmetry_Int_Tables_number 123
_symmetry_space_group_name_Hall '-P 4 2'
_cell_length_a 5.008
_cell_length_b 5.008
_cell_length_c 24.916
_cell_angle_alpha 90.00
_cell_angle_beta 90.00
_cell_angle_gamma 90.00
loop_
_atom_site_label
_atom_site_type_symbol
_atom_site_fract_x
_atom_site_fract_y
_atom_site_fract_z
Pr1 Pr 0.000 0.000 0.101
Pr2 Pr 0.000 0.000 0.301
Dy1 Dy 0.000 0.000 0.500
Tm1 Tm 0.000 0.500 0.000
Tm2 Tm 0.000 0.500 0.201
Tm3 Tm 0.000 0.500 0.402
Tm4 Tm 0.500 0.500 0.100
Tm5 Tm 0.500 0.500 0.301
Tm6 Tm 0.500 0.500 0.500
```